Diffraction record for Zn2Ni6HN. The X-ray diffraction stick pattern is theoretical, not measured: it uses DFT lattice parameters and positions (PBE) and Cu Kα (weighted mean of Kα1 and Kα2).

Structural model:
a = 5.2277 Å, b = 5.2277 Å, c = 7.3560 Å
α = 90.00°, β = 90.00°, γ = 90.00°
Space group I4/mmm (No. 139)
One atom of each set of equivalent atoms:
Zn 0.0000 0.5000 0.2500
Ni 0.0000 0.0000 0.2468
Ni 0.2476 0.2476 0.0000
H 0.0000 0.0000 0.0000
N 0.0000 0.0000 0.5000

Top 6 peaks for 2θ from 10° to 80°, in order of rising 2θ:
| 2theta | I/Imax | (hkl) |
| --- | --- | --- |
| 34.4 | 1 | 1 1 2 |
| 42.4 | 100 | 2 0 2 |
| 49.3 | 35 | 2 2 0 |
| 49.6 | 17 | 0 0 4 |
| 72.3 | 10 | 4 0 0 |
| 72.5 | 20 | 2 2 4 |